Record 1
The following is a theoretical powder X-ray diffraction pattern of Al5Rh7. It was derived from a cell relaxed with PBE, using copper Kα.
No peak broadening, texture or thermal motion is included.

Top 6 peaks for 2θ from 10° to 90°, sorted by position:
2θ 35.5, d 2.529, rel. 23, hkl 0 1 3; 2θ 40.0, d 2.254, rel. 100, hkl 1 2 0; 2θ 41.6, d 2.170, rel. 81, hkl 0 2 3; 2θ 46.3, d 1.961, rel. 59, hkl 1 0 3; 2θ 49.8, d 1.831, rel. 24, hkl 0 4 0; 2θ 70.3, d 1.338, rel. 29, hkl 1 4 3

Cell and atoms:
```
data_Al5Rh7
_chemical_formula_sum 'Al5 Rh7'
_symmetry_space_group_name_H-M 'P m m 2'
_symmetry_Int_Tables_number 25
_symmetry_space_group_name_Hall 'P 2 -2'
_cell_length_a 2.8586
_cell_length_b 7.3258
_cell_length_c 8.0820
_cell_angle_alpha 90.00
_cell_angle_beta 90.00
_cell_angle_gamma 90.00
loop_
_atom_site_label
_atom_site_type_symbol
_atom_site_fract_x
_atom_site_fract_y
_atom_site_fract_z
_atom_site_occupancy
Al1 Al 0.0000 0.0000 0.0000 1
Al2 Al 0.0000 0.0000 0.3475 1
Al3 Al 0.0000 0.5000 0.7178 1
Al4 Al 0.5000 0.2567 0.5260 1
Rh1 Rh 0.0000 0.0000 0.6544 1
Rh2 Rh 0.0000 0.5000 0.0409 1
Rh3 Rh 0.0000 0.5000 0.3871 1
Rh4 Rh 0.5000 0.2217 0.1942 1
Rh5 Rh 0.5000 0.2562 0.8513 1
```


Record 2
The following is a theoretical powder X-ray diffraction pattern of Al5Rh7. It was derived from a cell relaxed with PBE, using copper Kα.
No peak broadening, texture or thermal motion is included.

Top 6 peaks for 2θ from 10° to 90°, sorted by position:
2θ 31.2, d 2.864, rel. 17, hkl 2 0 0; 2θ 34.1, d 2.627, rel. 25, hkl 0 1 2; 2θ 40.6, d 2.220, rel. 24, hkl 0 0 3; 2θ 42.3, d 2.137, rel. 27, hkl 0 2 0; 2θ 42.6, d 2.123, rel. 100, hkl 2 1 -2; 2θ 77.5, d 1.231, rel. 17, hkl 2 3 -2

Cell and atoms:
```
data_Al5Rh7
_chemical_formula_sum 'Al5 Rh7'
_symmetry_space_group_name_H-M 'P 1 m 1'
_symmetry_Int_Tables_number 6
_symmetry_space_group_name_Hall 'P -2y'
_cell_length_a 5.8642
_cell_length_b 4.2735
_cell_length_c 6.8202
_cell_angle_alpha 90.00
_cell_angle_beta 102.40
_cell_angle_gamma 90.00
loop_
_atom_site_label
_atom_site_type_symbol
_atom_site_fract_x
_atom_site_fract_y
_atom_site_fract_z
_atom_site_occupancy
Al1 Al 0.0000 0.0000 0.0000 1
Al2 Al 0.0760 0.5000 0.3014 1
Al3 Al 0.1581 0.0000 0.6394 1
Al4 Al 0.4977 0.0000 0.9971 1
Al5 Al 0.5737 0.5000 0.3025 1
Rh1 Rh 0.2453 0.5000 0.9831 1
Rh2 Rh 0.3279 0.0000 0.3123 1
Rh3 Rh 0.4013 0.5000 0.6112 1
Rh4 Rh 0.6757 0.0000 0.7015 1
Rh5 Rh 0.7466 0.5000 0.9895 1
Rh6 Rh 0.8275 0.0000 0.3130 1
Rh7 Rh 0.9012 0.5000 0.6091 1
```


Record 3
The following is a theoretical powder X-ray diffraction pattern of Al6Rh. It was derived from a cell relaxed with PBE, using copper Kα.
No peak broadening, texture or thermal motion is included.

Top 6 peaks for 2θ from 10° to 90°, sorted by position:
2θ 17.7, d 4.999, rel. 100, hkl 1 1 0; 2θ 26.9, d 3.316, rel. 76, hkl 1 1 2; 2θ 40.7, d 2.216, rel. 50, hkl 0 0 4; 2θ 41.5, d 2.177, rel. 87, hkl 2 2 2; 2θ 43.7, d 2.073, rel. 91, hkl 3 1 2; 2θ 44.7, d 2.026, rel. 50, hkl 1 1 4

Cell and atoms:
```
data_Al6Rh
_chemical_formula_sum 'Al24 Rh4'
_symmetry_space_group_name_H-M 'C m c m'
_symmetry_Int_Tables_number 63
_symmetry_space_group_name_Hall '-C 2c 2'
_cell_length_a 7.5127
_cell_length_b 6.6973
_cell_length_c 8.8627
_cell_angle_alpha 90.00
_cell_angle_beta 90.00
_cell_angle_gamma 90.00
loop_
_atom_site_label
_atom_site_type_symbol
_atom_site_fract_x
_atom_site_fract_y
_atom_site_fract_z
_atom_site_occupancy
Al1 Al 0.0000 0.1474 0.0954 1
Al2 Al 0.1781 0.1957 0.7500 1
Al3 Al 0.1853 0.5000 0.0000 1
Rh1 Rh 0.0000 0.4705 0.2500 1
```


Record 4
The following is a theoretical powder X-ray diffraction pattern of Al3Rh5. It was derived from a cell relaxed with PBE, using copper Kα.
No peak broadening, texture or thermal motion is included.

Top 6 peaks for 2θ from 10° to 90°, sorted by position:
2θ 30.5, d 2.935, rel. 39, hkl 1 1 1; 2θ 37.5, d 2.397, rel. 46, hkl 1 0 2; 2θ 38.7, d 2.326, rel. 51, hkl 2 1 0; 2θ 42.6, d 2.124, rel. 100, hkl 2 1 1; 2θ 43.1, d 2.099, rel. 86, hkl 1 1 2; 2θ 44.1, d 2.052, rel. 37, hkl 3 0 0

Cell and atoms:
```
data_Al3Rh5
_chemical_formula_sum 'Al6 Rh10'
_symmetry_space_group_name_H-M 'P 63/m c m'
_symmetry_Int_Tables_number 193
_symmetry_space_group_name_Hall '-P 6c 2'
_cell_length_a 7.1076
_cell_length_b 7.1076
_cell_length_c 5.2039
_cell_angle_alpha 90.00
_cell_angle_beta 90.00
_cell_angle_gamma 120.00
loop_
_atom_site_label
_atom_site_type_symbol
_atom_site_fract_x
_atom_site_fract_y
_atom_site_fract_z
_atom_site_occupancy
Al1 Al 0.0000 0.3988 0.2500 1
Rh1 Rh 0.0000 0.2419 0.7500 1
Rh2 Rh 0.3333 0.6667 0.0000 1
```